Theoretical powder diffractogram
Compound: Dy2Zr2O7
Radiation: Cu Kα (weighted mean of Kα1 and Kα2)
Structure: DFT lattice parameters and positions (PBE)
Peak positions follow from Bragg's law for the DFT cell and can differ from measured ones.

Most intense lines, 15° ≤ 2θ ≤ 90°, in order of rising 2θ:
index  two_theta  I (rel.)
0 0 4  26.06  29
2 1 0  27.99  30
2 1 1  29.50  100
0 1 4  30.74  35
2 1 -3  32.26  37
0 2 0  32.36  67
0 2 4  42.00  19
4 0 -1  46.08  34
3 0 4  46.93  13
2 3 1  55.94  15
4 2 -1  57.41  19
2 3 -3  57.68  18

Atomic structure:
```
data_Dy2Zr2O7
_chemical_formula_sum 'Dy8 Zr8 O28'
_cell_length_a 7.880
_cell_length_b 5.536
_cell_length_c 13.827
_cell_angle_alpha 90.00
_cell_angle_beta 98.46
_cell_angle_gamma 90.00
_space_group_name_H-M_alt 'P 1 21 1'
_space_group_IT_number 4
_space_group_name_Hall 'P 2yb'
loop_
_atom_site_label
_atom_site_fract_x
_atom_site_fract_y
_atom_site_fract_z
_atom_site_occupancy
Dy1 0.137 0.000 0.059 1
Dy2 0.237 0.452 0.428 1
Dy3 0.287 0.916 0.634 1
Dy4 0.362 0.432 0.899 1
Zr1 0.027 0.436 0.619 1
Zr2 0.074 0.938 0.820 1
Zr3 0.411 0.450 0.173 1
Zr4 0.468 0.938 0.375 1
O1 0.004 0.592 0.326 1
O2 0.075 0.723 0.522 1
O3 0.078 0.225 0.917 1
O4 0.139 0.639 0.730 1
O5 0.154 0.716 0.934 1
O6 0.170 0.307 0.174 1
O7 0.222 0.059 0.383 1
O8 0.271 0.307 0.584 1
O9 0.324 0.076 0.798 1
O10 0.365 0.784 0.122 1
O11 0.416 0.587 0.327 1
O12 0.422 0.249 0.047 1
O13 0.439 0.719 0.523 1
O14 0.474 0.648 0.734 1
```